Diffraction record for Mg14ZnFe. The X-ray diffraction stick pattern is simulated, not measured: it uses the PBE geometry in the Materials Project and Cu Kα (weighted mean of Kα1 and Kα2).
Intensities are scaled so that the largest is 100.

Crystal structure
abc: 6.2545 6.2545 9.7707
angles: 90.00 90.00 120.00
Positions (direct):
Mg1 0.0000 0.0000 0.2484
Mg2 0.0000 0.0000 0.7516
Mg3 0.0181 0.5091 0.2568
Mg4 0.0181 0.5091 0.7432
Mg5 0.3327 0.1663 0.5000
Mg6 0.3341 0.1670 0.0000
Mg7 0.4909 0.5091 0.2568
Mg8 0.4909 0.5091 0.7432
Mg9 0.4909 0.9819 0.2568
Mg10 0.4909 0.9819 0.7432
Mg11 0.8330 0.1670 0.0000
Mg12 0.8330 0.6659 0.0000
Mg13 0.8337 0.1663 0.5000
Mg14 0.8337 0.6673 0.5000
Zn1 0.3333 0.6667 0.0000
Fe1 0.3333 0.6667 0.5000

Top 10 peaks for 2θ = 5–70°, in order of falling intensity:
- d = 2.369 Å, 37.99°, I 100
- d = 2.708 Å, 33.08°, I 26
- d = 2.443 Å, 36.79°, I 24
- d = 5.417 Å, 16.37°, I 18
- d = 1.396 Å, 67.06°, I 17
- d = 1.564 Å, 59.08°, I 17
- d = 1.814 Å, 50.30°, I 15
- d = 3.628 Å, 24.54°, I 8
- d = 1.888 Å, 48.19°, I 5
- d = 2.634 Å, 34.04°, I 5